1.
The following is a computed X-ray powder pattern of Mg4Si3. It was derived from a DFT-relaxed cell (GGA-PBE, Alexandria), using CuKα.

The 10 most intense peaks (10° ≤ 2θ ≤ 90°), low angle first:
2θ/deg	Rel. int.	(hkl)
13.34	30	0 1 0
30.34	38	2 -1 0
30.72	26	2 0 2
33.38	27	0 2 2
36.75	55	2 2 2
38.55	41	2 -2 1
40.57	31	-1 2 2
40.78	100	0 3 0
42.05	40	2 2 0
43.69	49	3 0 0

Crystal structure
Unit cell a=6.9710 b=7.0021 c=7.0289 alpha=72.62 beta=63.82 gamma=88.04
Space group P-1 (No. 2)
One atom of each set of equivalent atoms:
Mg 0.1707 0.1046 0.2609
Mg 0.1950 0.5273 0.2675
Mg 0.2008 0.8794 0.9080
Mg 0.2347 0.4648 0.8089
Si 0.1190 0.2091 0.6245
Si 0.4799 0.8367 0.1408
Si 0.4985 0.1722 0.5140

2.
The following is a computed X-ray powder pattern of Mg5Si6. It was derived from a DFT-relaxed cell (GGA-PBE, Alexandria), using CuKα.

The 10 most intense peaks (10° ≤ 2θ ≤ 90°), low angle first:
2θ/deg	Rel. int.	(hkl)
33.44	34	2 1 -1
33.60	100	1 1 -4
34.00	84	2 1 0
35.71	43	2 1 1
38.00	69	1 1 4
38.46	65	0 1 5
38.65	38	2 1 -4
39.03	39	3 0 0
41.31	49	3 0 -4
44.53	95	0 2 0

Crystal structure
Unit cell a=7.1195 b=4.0694 c=14.7130 alpha=90.00 beta=103.51 gamma=90.00
Space group P2_1/m (No. 11)
One atom of each set of equivalent atoms:
Mg 0.0498 0.2500 0.4019
Mg 0.1077 0.2500 0.1793
Mg 0.1793 0.2500 0.7639
Mg 0.4388 0.7500 0.6778
Mg 0.4453 0.7500 0.9091
Si 0.1692 0.2500 0.9486
Si 0.1815 0.7500 0.0465
Si 0.2033 0.2500 0.5873
Si 0.2350 0.7500 0.3152
Si 0.4123 0.7500 0.1932
Si 0.4982 0.2500 0.5436